For Hg7C5, a PBE-relaxed structure gives the calculated powder X-ray diffraction pattern in this record (Cu Kα, 1.54184 Å).
Peak positions follow from Bragg's law for the DFT cell and can differ from measured ones.

Crystal structure
a = 7.258 Å, b = 7.258 Å, c = 11.052 Å
α = 90.00°, β = 90.00°, γ = 90.00°
Space group I4mm (No. 107)
One atom of each set of equivalent atoms:
Hg (0.000, 0.000, 0.000) x2
Hg (0.000, 0.302, 0.815) x8
Hg (0.000, 0.500, 0.067) x4
C (0.000, 0.000, 0.194) x2
C (0.103, 0.103, 0.302) x8

Largest 8 diffraction maxima, low angle first, 10 to 80 degrees two-theta:
(1 0 1), d 6.067, 2θ = 14.6°, I 90; (2 0 0), d 3.629, 2θ = 24.5°, I 54; (2 1 1), d 3.114, 2θ = 28.7°, I 55; (0 0 4), d 2.763, 2θ = 32.4°, I 41; (1 1 4), d 2.435, 2θ = 36.9°, I 100; (3 0 1), d 2.363, 2θ = 38.1°, I 50; (2 2 2), d 2.327, 2θ = 38.7°, I 94; (3 3 2), d 1.633, 2θ = 56.3°, I 41